This entry pairs a crystal structure of AlF3 with its simulated PXRD pattern. Radiation: copper Kα. Structure: DFT lattice parameters and positions (PBE).

Principal peaks in the range 15 to 90 degrees two-theta, by angle:
Position (°2θ), d_spacing, I/Imax
24.46, 3.640, 100
34.86, 2.574, 2
43.04, 2.101, 11
50.12, 1.820, 38
56.54, 1.628, 31
62.50, 1.486, 1
73.61, 1.287, 19
78.90, 1.213, 13
84.10, 1.151, 1
89.25, 1.097, 1

Structure:
a = 3.640 Å, b = 3.640 Å, c = 3.640 Å
α = 90.00°, β = 90.00°, γ = 90.00°
Element x y z (fractional)
Al1 0.000 0.000 0.000
F1 0.000 0.000 0.500
F2 0.000 0.500 0.000
F3 0.500 0.000 0.000


This entry pairs a crystal structure of AlF3 with its simulated PXRD pattern. Radiation: copper Kα. Structure: DFT lattice parameters and positions (PBE).

Principal peaks in the range 15 to 90 degrees two-theta, by angle:
Position (°2θ), d_spacing, I/Imax
20.11, 4.415, 30
23.96, 3.714, 100
28.46, 3.136, 98
29.34, 3.045, 40
29.69, 3.009, 20
35.40, 2.536, 27
40.03, 2.252, 45
40.88, 2.207, 69
52.94, 1.730, 62
54.12, 1.695, 52
61.21, 1.514, 36
62.62, 1.484, 28

Structure:
a = 3.459 Å, b = 4.822 Å, c = 5.451 Å
α = 73.26°, β = 71.66°, γ = 69.07°
Element x y z (fractional)
Al1 0.000 0.000 0.000
Al2 0.014 0.377 0.489
F1 0.172 0.970 0.652
F2 0.183 0.281 0.183
F3 0.495 0.409 0.500
F4 0.562 0.877 0.979
F5 0.822 0.391 0.842
F6 0.912 0.789 0.328


This entry pairs a crystal structure of AlF3 with its simulated PXRD pattern. Radiation: copper Kα. Structure: DFT lattice parameters and positions (PBE).

Principal peaks in the range 15 to 90 degrees two-theta, by angle:
Position (°2θ), d_spacing, I/Imax
18.75, 4.731, 94
19.30, 4.600, 100
24.56, 3.624, 94
29.94, 2.985, 30
30.98, 2.887, 29
48.03, 1.894, 38
49.91, 1.827, 36
50.35, 1.812, 35
53.53, 1.712, 12
55.25, 1.663, 11
71.90, 1.313, 9
73.03, 1.296, 17

Structure:
a = 3.628 Å, b = 5.193 Å, c = 5.857 Å
α = 65.73°, β = 88.29°, γ = 87.53°
Element x y z (fractional)
Al1 0.000 0.140 0.234
Al2 0.000 0.860 0.766
F1 0.000 0.000 0.000
F2 0.000 0.500 0.000
F3 0.019 0.779 0.490
F4 0.500 0.145 0.229
F5 0.500 0.855 0.771
F6 0.981 0.221 0.510


This entry pairs a crystal structure of AlF3 with its simulated PXRD pattern. Radiation: copper Kα. Structure: DFT lattice parameters and positions (PBE).

Principal peaks in the range 15 to 90 degrees two-theta, by angle:
Position (°2θ), d_spacing, I/Imax
24.61, 3.618, 100
25.39, 3.507, 54
29.40, 3.038, 79
44.75, 2.025, 27
46.86, 1.939, 27
50.45, 1.809, 35
52.15, 1.754, 44
54.46, 1.685, 19
59.48, 1.554, 22
61.00, 1.519, 24
75.51, 1.259, 24
83.03, 1.163, 18

Structure:
a = 7.013 Å, b = 7.013 Å, c = 7.235 Å
α = 90.00°, β = 90.00°, γ = 119.93°
Element x y z (fractional)
Al1 0.000 0.000 0.000
Al2 0.000 0.000 0.500
Al3 0.000 0.500 0.000
Al4 0.000 0.500 0.500
Al5 0.500 0.000 0.000
Al6 0.500 0.000 0.500
F1 0.018 0.982 0.750
F2 0.036 0.505 0.250
F3 0.079 0.289 0.520
F4 0.079 0.289 0.980
F5 0.288 0.712 0.526
F6 0.288 0.712 0.974
F7 0.289 0.079 0.020
F8 0.289 0.079 0.480
F9 0.495 0.964 0.250
F10 0.505 0.036 0.750
F11 0.711 0.921 0.520
F12 0.711 0.921 0.980
F13 0.712 0.288 0.026
F14 0.712 0.288 0.474
F15 0.921 0.711 0.020
F16 0.921 0.711 0.480
F17 0.964 0.495 0.750
F18 0.982 0.018 0.250


This entry pairs a crystal structure of AlF3 with its simulated PXRD pattern. Radiation: copper Kα. Structure: DFT lattice parameters and positions (PBE).

Principal peaks in the range 15 to 90 degrees two-theta, by angle:
Position (°2θ), d_spacing, I/Imax
24.56, 3.624, 65
24.97, 3.565, 100
41.65, 2.169, 13
42.16, 2.143, 6
42.35, 2.134, 10
50.36, 1.812, 24
51.24, 1.783, 30
56.86, 1.619, 9
57.19, 1.611, 23
58.45, 1.579, 14
74.44, 1.275, 9
74.95, 1.267, 7

Structure:
a = 8.761 Å, b = 5.106 Å, c = 4.981 Å
α = 90.00°, β = 124.18°, γ = 90.00°
Element x y z (fractional)
Al1 0.250 0.250 0.000
Al2 0.250 0.750 0.500
Al3 0.750 0.250 0.500
Al4 0.750 0.750 0.000
F1 0.000 0.237 0.750
F2 0.000 0.763 0.250
F3 0.242 0.446 0.304
F4 0.242 0.554 0.804
F5 0.258 0.054 0.696
F6 0.258 0.946 0.196
F7 0.500 0.263 0.250
F8 0.500 0.737 0.750
F9 0.742 0.054 0.804
F10 0.742 0.946 0.304
F11 0.758 0.446 0.196
F12 0.758 0.554 0.696


This entry pairs a crystal structure of Al2GeO4F2 with its simulated PXRD pattern. Radiation: copper Kα. Structure: DFT lattice parameters and positions (PBE).

Principal peaks in the range 15 to 90 degrees two-theta, by angle:
Position (°2θ), d_spacing, I/Imax
23.30, 3.818, 57
26.97, 3.306, 51
28.52, 3.129, 42
28.92, 3.087, 24
29.47, 3.031, 100
36.55, 2.458, 32
36.98, 2.431, 37
40.11, 2.248, 32
47.22, 1.925, 25
53.00, 1.728, 32
63.55, 1.464, 28
66.70, 1.402, 25

Structure:
a = 9.087 Å, b = 8.632 Å, c = 4.818 Å
α = 90.00°, β = 90.00°, γ = 90.00°
Element x y z (fractional)
Al1 0.131 0.082 0.094
Al2 0.131 0.418 0.094
Al3 0.369 0.582 0.594
Al4 0.369 0.918 0.594
Al5 0.631 0.082 0.406
Al6 0.631 0.418 0.406
Al7 0.869 0.582 0.906
Al8 0.869 0.918 0.906
Ge1 0.060 0.750 0.399
Ge2 0.440 0.250 0.899
Ge3 0.560 0.750 0.101
Ge4 0.940 0.250 0.601
O1 0.009 0.584 0.204
O2 0.009 0.916 0.204
O3 0.035 0.250 0.280
O4 0.246 0.250 0.959
O5 0.254 0.750 0.459
O6 0.465 0.750 0.780
O7 0.491 0.084 0.704
O8 0.491 0.416 0.704
O9 0.509 0.584 0.296
O10 0.509 0.916 0.296
O11 0.535 0.250 0.220
O12 0.746 0.250 0.541
O13 0.754 0.750 0.041
O14 0.965 0.750 0.720
O15 0.991 0.084 0.796
O16 0.991 0.416 0.796
F1 0.249 0.553 0.896
F2 0.249 0.947 0.896
F3 0.251 0.053 0.396
F4 0.251 0.447 0.396
F5 0.749 0.553 0.604
F6 0.749 0.947 0.604
F7 0.751 0.053 0.104
F8 0.751 0.447 0.104